(1)
The following is a simulated X-ray powder pattern of RbBaSiHO4. It was derived from a GGA-PBE-relaxed structure, using Cu Kα.
Kinematic intensities with the Lorentz-polarization factor, no thermal factor.

Largest 10 diffraction maxima, in order of rising 2θ, 5° ≤ 2θ ≤ 70°:
2θ (°)	I (rel.)
27.3	70
27.5	60
27.7	100
28.9	65
29.5	54
29.9	51
40.2	41
40.6	27
41.3	28
51.5	33

Atomic structure:
Lattice parameters (Å, degrees): 5.9801 8.2478 6.0528 90.00 118.09 90.00
Fractional coordinates of all 16 atoms:
Rb  0.1352  0.0000  0.2900
Rb  0.8648  0.5000  0.7100
Ba  0.4843  0.2517  0.9904
Ba  0.5157  0.7517  0.0096
Si  0.1946  0.5151  0.3796
Si  0.8054  0.0151  0.6204
H  0.0144  0.2810  0.4591
H  0.9856  0.7810  0.5409
O  0.0068  0.1673  0.6921
O  0.0078  0.3418  0.3105
O  0.3425  0.5078  0.2113
O  0.3851  0.5076  0.6827
O  0.6149  0.0076  0.3173
O  0.6575  0.0078  0.7887
O  0.9922  0.8418  0.6895
O  0.9932  0.6673  0.3079


(2)
The following is a simulated X-ray powder pattern of Ba2PrMgNbO6. It was derived from a GGA-PBE-relaxed structure, using Cu Kα.
Kinematic intensities with the Lorentz-polarization factor, no thermal factor.

Largest 10 diffraction maxima, in order of rising 2θ, 5° ≤ 2θ ≤ 70°:
2θ (°)	I (rel.)
25.3	65
25.8	67
26.0	52
28.3	100
29.3	92
31.2	89
31.9	38
35.2	50
35.3	44
45.6	35

Atomic structure:
Lattice parameters (Å, degrees): 5.6993 5.7483 6.5103 113.56 106.30 90.52
Fractional coordinates of all 11 atoms:
Ba  0.0000  0.0000  0.0000
Ba  0.3008  0.3968  0.7798
Pr  0.7005  0.2299  0.4658
Mg  0.7660  0.6143  0.2106
Nb  0.3084  0.7079  0.3986
O  0.0142  0.9373  0.4241
O  0.0208  0.4553  0.3877
O  0.4636  0.3930  0.2135
O  0.4652  0.8284  0.1844
O  0.5318  0.9848  0.6592
O  0.8588  0.4907  0.9011


(3)
The following is a simulated X-ray powder pattern of Ca5Ge3O11. It was derived from a GGA-PBE-relaxed structure, using Cu Kα.
Kinematic intensities with the Lorentz-polarization factor, no thermal factor.

Largest 10 diffraction maxima, in order of rising 2θ, 5° ≤ 2θ ≤ 70°:
2θ (°)	I (rel.)
20.1	52
26.5	54
29.6	100
29.7	61
31.5	54
31.8	53
32.4	49
34.2	17
41.0	26
52.1	19

Atomic structure:
Lattice parameters (Å, degrees): 7.0293 7.0540 11.1422 85.32 84.53 77.50
Fractional coordinates of all 38 atoms:
Ca  0.0051  0.0312  0.2431
Ca  0.0747  0.4518  0.7546
Ca  0.2901  0.7012  0.0041
Ca  0.3172  0.6749  0.4935
Ca  0.4593  0.0922  0.7667
Ca  0.5407  0.9078  0.2333
Ca  0.6828  0.3251  0.5065
Ca  0.7099  0.2988  0.9959
Ca  0.9253  0.5482  0.2454
Ca  0.9949  0.9688  0.7569
Ge  0.1941  0.1839  0.4636
Ge  0.2068  0.2138  0.0156
Ge  0.4537  0.4285  0.2673
Ge  0.5463  0.5715  0.7327
Ge  0.7932  0.7862  0.9844
Ge  0.8059  0.8161  0.5364
O  0.0107  0.6879  0.8949
O  0.0254  0.7123  0.6060
O  0.1334  0.1525  0.8760
O  0.1627  0.1583  0.6213
O  0.2468  0.5802  0.2114
O  0.2847  0.9670  0.3878
O  0.2937  0.9934  0.1026
O  0.3652  0.3432  0.4245
O  0.3729  0.3622  0.9629
O  0.3996  0.7770  0.7954
O  0.4085  0.4260  0.6698
O  0.5915  0.5740  0.3302
O  0.6004  0.2230  0.2046
O  0.6271  0.6378  0.0371
O  0.6348  0.6568  0.5755
O  0.7063  0.0066  0.8974
O  0.7153  0.0330  0.6122
O  0.7532  0.4198  0.7886
O  0.8373  0.8417  0.3787
O  0.8666  0.8475  0.1240
O  0.9746  0.2877  0.3940
O  0.9893  0.3121  0.1051


(4)
The following is a simulated X-ray powder pattern of Pr2SiCN2O4. It was derived from a GGA-PBE-relaxed structure, using Cu Kα.
Kinematic intensities with the Lorentz-polarization factor, no thermal factor.

Largest 10 diffraction maxima, in order of rising 2θ, 5° ≤ 2θ ≤ 70°:
2θ (°)	I (rel.)
19.3	78
24.2	41
24.7	62
27.4	100
27.6	55
28.9	38
29.6	63
30.8	53
31.0	53
35.2	42

Atomic structure:
Lattice parameters (Å, degrees): 6.5210 6.7363 6.7670 85.14 72.92 74.74
Fractional coordinates of all 20 atoms:
Pr  0.0410  0.1965  0.2022
Pr  0.4430  0.2555  0.6679
Pr  0.5570  0.7445  0.3321
Pr  0.9590  0.8035  0.7978
Si  0.4617  0.7866  0.8160
Si  0.5383  0.2134  0.1840
C  0.0607  0.6909  0.2939
C  0.9393  0.3091  0.7061
N  0.0257  0.4073  0.7904
N  0.1394  0.7955  0.3791
N  0.8606  0.2045  0.6209
N  0.9743  0.5927  0.2096
O  0.2329  0.9711  0.8956
O  0.3575  0.1173  0.3703
O  0.3854  0.6278  0.6952
O  0.4016  0.2943  0.0171
O  0.5984  0.7057  0.9829
O  0.6146  0.3722  0.3048
O  0.6425  0.8827  0.6297
O  0.7671  0.0289  0.1044


(5)
The following is a simulated X-ray powder pattern of Na3Al2P3O12. It was derived from a GGA-PBE-relaxed structure, using Cu Kα.
Kinematic intensities with the Lorentz-polarization factor, no thermal factor.

Largest 10 diffraction maxima, in order of rising 2θ, 5° ≤ 2θ ≤ 70°:
2θ (°)	I (rel.)
20.4	23
24.1	49
24.3	100
25.0	41
32.1	57
32.5	43
32.7	78
36.1	23
36.3	37
44.1	26

Atomic structure:
Lattice parameters (Å, degrees): 8.5999 8.5999 8.6448 119.44 119.44 59.80
Fractional coordinates of all 40 atoms:
Na  0.0695  0.9305  0.5000
Na  0.2005  0.6658  0.7841
Na  0.5857  0.7888  0.0345
Na  0.6658  0.2005  0.2841
Na  0.7888  0.5857  0.5345
Na  0.9305  0.0695  0.0000
Al  0.0463  0.5332  0.3455
Al  0.3328  0.8319  0.2242
Al  0.5332  0.0463  0.8455
Al  0.8319  0.3328  0.7242
P  0.1486  0.2284  0.5339
P  0.2284  0.1486  0.0339
P  0.4363  0.6464  0.5386
P  0.6464  0.4363  0.0386
P  0.7226  0.9418  0.5320
P  0.9418  0.7226  0.0320
O  0.0546  0.1739  0.8553
O  0.1111  0.7556  0.0488
O  0.1165  0.4160  0.5213
O  0.1739  0.0546  0.3553
O  0.1899  0.3190  0.2070
O  0.2542  0.9609  0.0477
O  0.2595  0.6241  0.5195
O  0.3190  0.1899  0.7070
O  0.4037  0.6876  0.3682
O  0.4160  0.1165  0.0213
O  0.4636  0.6126  0.0520
O  0.4720  0.8176  0.7186
O  0.5545  0.9006  0.3539
O  0.6126  0.4636  0.5520
O  0.6241  0.2595  0.0195
O  0.6876  0.4037  0.8682
O  0.6922  0.9696  0.7078
O  0.7556  0.1111  0.5488
O  0.7662  0.9106  0.0198
O  0.8176  0.4720  0.2186
O  0.9006  0.5545  0.8539
O  0.9106  0.7662  0.5198
O  0.9609  0.2542  0.5477
O  0.9696  0.6922  0.2078


(6)
The following is a simulated X-ray powder pattern of LiGaPO5. It was derived from a GGA-PBE-relaxed structure, using Cu Kα.
Kinematic intensities with the Lorentz-polarization factor, no thermal factor.

Largest 10 diffraction maxima, in order of rising 2θ, 5° ≤ 2θ ≤ 70°:
2θ (°)	I (rel.)
17.4	100
19.5	6
21.6	9
24.4	7
25.7	7
29.0	25
29.6	19
32.1	13
35.5	23
48.1	8

Atomic structure:
Lattice parameters (Å, degrees): 4.5461 6.1966 6.9973 77.73 87.27 88.92
Fractional coordinates of all 16 atoms:
Li  0.0212  0.1577  0.3130
Li  0.9788  0.8423  0.6870
Ga  0.5000  0.0000  0.0000
Ga  0.5000  0.5000  0.5000
P  0.0610  0.3317  0.7418
P  0.9390  0.6683  0.2582
O  0.1332  0.2001  0.9460
O  0.2032  0.2176  0.5779
O  0.2049  0.5665  0.6906
O  0.2770  0.6441  0.2679
O  0.4629  0.0875  0.2319
O  0.5371  0.9125  0.7681
O  0.7230  0.3559  0.7321
O  0.7951  0.4335  0.3094
O  0.7968  0.7824  0.4221
O  0.8668  0.7999  0.0540